# K5Na4Sr
Simulated X-ray diffraction stick pattern, Cu Kα. Input: a DFT-relaxed cell (GGA-PBE, Alexandria).
Kinematic intensities with the Lorentz-polarization factor, no thermal factor.

Main lines, by angle (10 to 90 degrees two-theta):
17.4°, rel. 34; 20.5°, rel. 66; 25.6°, rel. 30; 26.9°, rel. 98; 27.1°, rel. 100; 28.2°, rel. 44; 30.0°, rel. 46; 41.6°, rel. 28; 45.6°, rel. 24; 51.5°, rel. 30

Atomic structure:
Lattice parameters (Å, degrees): 11.1520 11.1520 10.1674 116.71 116.71 30.98
Positions (direct):
K 0.0000 0.0000 0.0000
K 0.3321 0.3321 0.2891
K 0.3323 0.3323 0.8762
K 0.6677 0.6677 0.1238
K 0.6679 0.6679 0.7109
Na 0.1754 0.1754 0.4318
Na 0.4678 0.4678 0.7113
Na 0.5322 0.5322 0.2887
Na 0.8246 0.8246 0.5682
Sr 0.0000 0.0000 0.5000

# Ti2P2H4O11
Simulated X-ray diffraction stick pattern, Cu Kα. Input: a DFT-relaxed cell (GGA-PBE, Alexandria).
Kinematic intensities with the Lorentz-polarization factor, no thermal factor.

Main lines, by angle (10 to 90 degrees two-theta):
10.5°, rel. 62; 12.0°, rel. 94; 17.1°, rel. 31; 19.0°, rel. 35; 21.0°, rel. 100; 23.2°, rel. 47; 24.7°, rel. 73; 30.1°, rel. 46; 30.5°, rel. 32; 31.1°, rel. 64

Atomic structure:
Lattice parameters (Å, degrees): 5.2207 8.8179 9.8903 73.81 85.71 84.97
Positions (direct):
Ti 0.0570 0.3746 0.3043
Ti 0.2692 0.7639 0.1617
Ti 0.7308 0.2361 0.8383
Ti 0.9430 0.6254 0.6957
P 0.2174 0.1725 0.0672
P 0.2440 0.3145 0.6210
P 0.7560 0.6855 0.3790
P 0.7826 0.8275 0.9328
H 0.1432 0.8459 0.4653
H 0.2207 0.6582 0.9044
H 0.3734 0.7852 0.5623
H 0.4135 0.5474 0.8252
H 0.5865 0.4526 0.1748
H 0.6266 0.2148 0.4377
H 0.7793 0.3418 0.0956
H 0.8568 0.1541 0.5347
O 0.0237 0.2164 0.7045
O 0.0416 0.7729 0.0036
O 0.1868 0.4916 0.6136
O 0.1878 0.8174 0.5644
O 0.2043 0.2280 0.2038
O 0.2377 0.5967 0.8335
O 0.2477 0.5369 0.2148
O 0.2666 0.9925 0.1050
O 0.2696 0.2951 0.4684
O 0.4396 0.2535 0.9693
O 0.4981 0.7491 0.3123
O 0.5019 0.2509 0.6877
O 0.5604 0.7465 0.0307
O 0.7304 0.7049 0.5316
O 0.7334 0.0075 0.8950
O 0.7523 0.4631 0.7852
O 0.7623 0.4033 0.1665
O 0.7957 0.7720 0.7962
O 0.8122 0.1826 0.4356
O 0.8132 0.5084 0.3864
O 0.9584 0.2271 0.9964
O 0.9763 0.7836 0.2955

# Sm2Co12Si7
Simulated X-ray diffraction stick pattern, Cu Kα. Input: a DFT-relaxed cell (GGA-PBE, Alexandria).
Kinematic intensities with the Lorentz-polarization factor, no thermal factor.

Main lines, by angle (10 to 90 degrees two-theta):
26.7°, rel. 12; 29.8°, rel. 11; 33.9°, rel. 10; 38.7°, rel. 100; 39.3°, rel. 10; 48.2°, rel. 11; 49.6°, rel. 18; 52.8°, rel. 14; 56.4°, rel. 11; 85.6°, rel. 11

Atomic structure:
Lattice parameters (Å, degrees): 9.1678 9.1678 3.6761 90.00 90.00 120.00
Positions (direct):
Sm 0.0000 0.0000 0.0000
Sm 0.3333 0.6667 0.5000
Co 0.0450 0.7638 0.5000
Co 0.1037 0.3896 0.0000
Co 0.2362 0.2813 0.5000
Co 0.2859 0.8963 0.0000
Co 0.3905 0.2044 0.0000
Co 0.5499 0.1129 0.5000
Co 0.5629 0.4501 0.5000
Co 0.6104 0.7141 0.0000
Co 0.7187 0.9550 0.5000
Co 0.7956 0.1861 0.0000
Co 0.8139 0.6095 0.0000
Co 0.8871 0.4371 0.5000
Si 0.0600 0.6179 0.0000
Si 0.2704 0.0395 0.5000
Si 0.3821 0.4421 0.0000
Si 0.5579 0.9400 0.0000
Si 0.6667 0.3333 0.0000
Si 0.7691 0.7296 0.5000
Si 0.9605 0.2309 0.5000

# LiErSb3
Simulated X-ray diffraction stick pattern, Cu Kα. Input: a DFT-relaxed cell (GGA-PBE, Alexandria).
Kinematic intensities with the Lorentz-polarization factor, no thermal factor.

Main lines, by angle (10 to 90 degrees two-theta):
28.5°, rel. 35; 31.6°, rel. 57; 32.7°, rel. 100; 33.5°, rel. 45; 33.8°, rel. 36; 35.0°, rel. 54; 36.1°, rel. 41; 41.7°, rel. 30; 42.3°, rel. 54; 59.5°, rel. 28

Atomic structure:
Lattice parameters (Å, degrees): 13.3798 6.0073 6.2598 90.00 90.00 90.00
Positions (direct):
Li 0.1084 0.2500 0.0000
Li 0.1084 0.2500 0.5000
Li 0.8916 0.7500 0.0000
Li 0.8916 0.7500 0.5000
Er 0.3186 0.5119 0.2500
Er 0.3186 0.9881 0.7500
Er 0.6814 0.0119 0.2500
Er 0.6814 0.4881 0.7500
Sb 0.0832 0.7064 0.2500
Sb 0.0832 0.7936 0.7500
Sb 0.2563 0.0024 0.2500
Sb 0.2563 0.4976 0.7500
Sb 0.4955 0.2500 0.0000
Sb 0.4955 0.2500 0.5000
Sb 0.5045 0.7500 0.0000
Sb 0.5045 0.7500 0.5000
Sb 0.7437 0.5024 0.2500
Sb 0.7437 0.9976 0.7500
Sb 0.9168 0.2064 0.2500
Sb 0.9168 0.2936 0.7500

# Ho4Sb2Pb
Simulated X-ray diffraction stick pattern, Cu Kα. Input: a DFT-relaxed cell (GGA-PBE, Alexandria).
Kinematic intensities with the Lorentz-polarization factor, no thermal factor.

Main lines, by angle (10 to 90 degrees two-theta):
18.4°, rel. 39; 26.1°, rel. 45; 29.3°, rel. 49; 29.8°, rel. 100; 34.9°, rel. 77; 35.0°, rel. 37; 37.3°, rel. 43; 44.2°, rel. 34; 48.7°, rel. 25; 55.9°, rel. 23

Atomic structure:
Lattice parameters (Å, degrees): 8.2984 8.2984 8.2984 108.96 108.96 110.49
Positions (direct):
Ho 0.1913 0.2548 0.5635
Ho 0.1913 0.6278 0.9365
Ho 0.2548 0.1913 0.0635
Ho 0.3722 0.8087 0.5635
Ho 0.6278 0.1913 0.4365
Ho 0.7452 0.8087 0.9365
Ho 0.8087 0.3722 0.0635
Ho 0.8087 0.7452 0.4365
Sb 0.0000 0.5000 0.5000
Sb 0.5000 0.0000 0.0000
Sb 0.5000 0.5000 0.0000
Sb 0.5000 0.5000 0.5000
Pb 0.1250 0.8750 0.2500
Pb 0.8750 0.1250 0.7500

# PrSnHgI6
Simulated X-ray diffraction stick pattern, Cu Kα. Input: a DFT-relaxed cell (GGA-PBE, Alexandria).
Kinematic intensities with the Lorentz-polarization factor, no thermal factor.

Main lines, by angle (10 to 90 degrees two-theta):
17.6°, rel. 61; 25.4°, rel. 100; 28.5°, rel. 19; 33.0°, rel. 84; 36.5°, rel. 22; 39.2°, rel. 54; 43.1°, rel. 24; 47.3°, rel. 17; 49.2°, rel. 19; 52.1°, rel. 18

Atomic structure:
Lattice parameters (Å, degrees): 7.9654 7.9654 7.4080 90.06 90.06 119.99
Positions (direct):
Pr 0.0000 0.0000 0.0000
Sn 0.6663 0.3337 0.0000
Hg 0.3331 0.6669 0.5000
I 0.3318 0.3187 0.7560
I 0.3331 0.0143 0.2441
I 0.6803 0.0132 0.7561
I 0.6813 0.6682 0.2440
I 0.9857 0.6669 0.7559
I 0.9868 0.3197 0.2439

# Na2HoF6
Simulated X-ray diffraction stick pattern, Cu Kα. Input: a DFT-relaxed cell (GGA-PBE, Alexandria).
Kinematic intensities with the Lorentz-polarization factor, no thermal factor.

Main lines, by angle (10 to 90 degrees two-theta):
14.5°, rel. 85; 18.5°, rel. 100; 24.1°, rel. 52; 27.9°, rel. 76; 28.7°, rel. 75; 32.3°, rel. 40; 41.5°, rel. 22; 44.6°, rel. 24; 47.7°, rel. 81; 53.9°, rel. 25

Atomic structure:
Lattice parameters (Å, degrees): 6.9018 6.9018 6.9018 147.42 135.63 56.12
Positions (direct):
Na 0.1711 0.1711 0.0000
Na 0.8289 0.8289 0.0000
Ho 0.5000 0.5000 0.0000
F 0.1074 0.3443 0.7631
F 0.2629 0.0000 0.2629
F 0.4187 0.6557 0.7631
F 0.5813 0.3443 0.2369
F 0.7371 0.0000 0.7371
F 0.8926 0.6557 0.2369

# CaCoCu3Se4
Simulated X-ray diffraction stick pattern, Cu Kα. Input: a DFT-relaxed cell (GGA-PBE, Alexandria).
Kinematic intensities with the Lorentz-polarization factor, no thermal factor.

Main lines, by angle (10 to 90 degrees two-theta):
15.0°, rel. 33; 26.1°, rel. 95; 43.3°, rel. 100; 46.1°, rel. 8; 51.3°, rel. 39; 56.1°, rel. 10; 62.9°, rel. 15; 69.3°, rel. 14; 79.5°, rel. 27; 85.4°, rel. 10

Atomic structure:
Lattice parameters (Å, degrees): 5.9085 5.9085 5.9085 90.00 90.00 90.00
Positions (direct):
Ca 0.0000 0.0000 0.0000
Co 0.5000 0.5000 0.5000
Cu 0.0000 0.5000 0.5000
Cu 0.5000 0.0000 0.5000
Cu 0.5000 0.5000 0.0000
Se 0.2701 0.2701 0.7299
Se 0.2701 0.7299 0.2701
Se 0.7299 0.2701 0.2701
Se 0.7299 0.7299 0.7299